Theoretical X-ray powder pattern of BaVSi2O7 for Cu Kα (λ = 1.5418 Å), from a DFT-relaxed cell (PBE+U, Alexandria).
Kinematic intensities with the Lorentz-polarization factor, no thermal factor.

Structural model:
a = 7.136 Å, b = 7.136 Å, c = 11.852 Å
α = 90.00°, β = 90.00°, γ = 90.00°
Space group I4/m (No. 87)
One atom of each set of equivalent atoms:
Ba  0.000  0.500  0.250 x4
V  0.000  0.000  0.155 x4
Si  0.202  0.247  0.500 x8
O  0.000  0.000  0.294 x4
O  0.027  0.731  0.500 x8
O  0.153  0.777  0.115 x16

The 8 most intense peaks (10 to 90 degrees two-theta), in order of rising 2θ:
d_spacing, 2θ (°), Rel. int.
3.842, 23.15, 32
3.456, 25.78, 16
3.057, 29.22, 100
2.555, 35.12, 35
2.523, 35.58, 33
2.321, 38.79, 19
1.795, 50.86, 18
1.541, 60.04, 18